# 1
Theoretical powder X-ray diffraction pattern
Compound: Ti4Bi3H
Radiation: copper Kα
Structure: a DFT-relaxed cell (PBE, Alexandria)
Kinematic intensities with the Lorentz-polarization factor, no thermal factor.

Peak list (10 most intense, 2θ = 10–90°, in order of rising 2θ)
2θ 11.68, d 7.575, I 43.6
2θ 15.74, d 5.630, I 29.5
2θ 24.20, d 3.678, I 67.9
2θ 28.80, d 3.100, I 47.0
2θ 29.39, d 3.039, I 95.7
2θ 33.22, d 2.697, I 76.5
2θ 35.99, d 2.495, I 100.0
2θ 39.40, d 2.287, I 62.3
2θ 41.52, d 2.175, I 32.4
2θ 59.73, d 1.548, I 28.4

Atomic structure:
a b c (Å): 8.4139 7.5748 5.3938
angles (deg): 90.00 90.00 90.00
Atoms (fractional coordinates):
Ti: 0.0000 0.1017 0.0001
Ti: 0.0000 0.8731 0.4643
Ti: 0.1710 0.7831 0.0000
Ti: 0.3290 0.2169 0.5000
Ti: 0.5000 0.1269 0.9643
Ti: 0.5000 0.8983 0.5001
Ti: 0.6710 0.2169 0.5000
Ti: 0.8290 0.7831 0.0000
Bi: 0.0000 0.2449 0.5000
Bi: 0.2473 0.6256 0.4991
Bi: 0.2527 0.3744 0.9991
Bi: 0.5000 0.7551 0.0000
Bi: 0.7473 0.3744 0.9991
Bi: 0.7527 0.6256 0.4991
H: 0.0000 0.8860 0.8219
H: 0.5000 0.1140 0.3219



# 2
Theoretical powder X-ray diffraction pattern
Compound: Ti8Bi4H
Radiation: copper Kα
Structure: a DFT-relaxed cell (PBE, Alexandria)
Kinematic intensities with the Lorentz-polarization factor, no thermal factor.

Peak list (10 most intense, 2θ = 10–90°, in order of rising 2θ)
2θ 23.14, d 3.843, I 41.4
2θ 24.95, d 3.569, I 25.7
2θ 25.67, d 3.470, I 12.0
2θ 31.69, d 2.823, I 15.3
2θ 36.72, d 2.447, I 100.0
2θ 38.99, d 2.310, I 39.7
2θ 40.66, d 2.219, I 11.5
2θ 56.31, d 1.634, I 20.0
2θ 64.61, d 1.442, I 17.6
2θ 69.19, d 1.358, I 15.4

Atomic structure:
a b c (Å): 3.6934 4.6157 13.8809
angles (deg): 90.00 90.00 90.00
Atoms (fractional coordinates):
Ti: 0.0000 0.0000 0.0000
Ti: 0.0000 0.0000 0.3320
Ti: 0.0000 0.5000 0.1898
Ti: 0.0000 0.5000 0.5253
Ti: 0.5000 0.0000 0.5025
Ti: 0.5000 0.0000 0.8378
Ti: 0.5000 0.5000 0.0248
Ti: 0.5000 0.5000 0.6888
Bi: 0.0000 0.0000 0.6681
Bi: 0.0000 0.5000 0.8627
Bi: 0.5000 0.0000 0.1617
Bi: 0.5000 0.5000 0.3609
H: 0.0000 0.0000 0.4678



# 3
Theoretical powder X-ray diffraction pattern
Compound: Tl2Bi3H2
Radiation: copper Kα
Structure: a DFT-relaxed cell (PBE, Alexandria)
Kinematic intensities with the Lorentz-polarization factor, no thermal factor.

Peak list (10 most intense, 2θ = 10–90°, in order of rising 2θ)
2θ 18.30, d 4.849, I 47.7
2θ 25.98, d 3.430, I 35.0
2θ 27.19, d 3.280, I 70.1
2θ 30.33, d 2.947, I 100.0
2θ 30.53, d 2.928, I 90.6
2θ 31.69, d 2.824, I 87.7
2θ 32.59, d 2.747, I 26.6
2θ 34.80, d 2.578, I 40.5
2θ 37.60, d 2.392, I 28.2
2θ 53.24, d 1.720, I 27.6

Atomic structure:
a b c (Å): 5.3530 5.9643 6.8881
angles (deg): 90.11 112.69 100.02
Atoms (fractional coordinates):
Tl: 0.1553 0.4600 0.3306
Tl: 0.8447 0.5400 0.6694
Bi: 0.4661 0.0012 0.2305
Bi: 0.5000 0.5000 0.0000
Bi: 0.5339 0.9988 0.7695
H: 0.1534 0.9374 0.6411
H: 0.8466 0.0626 0.3589



# 4
Theoretical powder X-ray diffraction pattern
Compound: TlBi2H
Radiation: copper Kα
Structure: a DFT-relaxed cell (PBE, Alexandria)
Kinematic intensities with the Lorentz-polarization factor, no thermal factor.

Peak list (10 most intense, 2θ = 10–90°, in order of rising 2θ)
2θ 28.90, d 3.090, I 71.3
2θ 29.21, d 3.058, I 100.0
2θ 30.82, d 2.901, I 59.0
2θ 31.32, d 2.856, I 42.2
2θ 32.68, d 2.741, I 24.9
2θ 34.43, d 2.604, I 30.8
2θ 48.12, d 1.891, I 15.3
2θ 50.34, d 1.813, I 16.4
2θ 62.09, d 1.495, I 17.5
2θ 63.17, d 1.472, I 16.8

Atomic structure:
a b c (Å): 3.4160 6.8754 9.2381
angles (deg): 96.46 90.13 90.03
Atoms (fractional coordinates):
Tl: 0.0053 0.0795 0.2865
Tl: 0.9947 0.9205 0.7135
Bi: 0.4957 0.5793 0.3384
Bi: 0.4980 0.2362 0.9799
Bi: 0.5020 0.7638 0.0201
Bi: 0.5043 0.4207 0.6616
H: 0.4946 0.8257 0.4509
H: 0.5054 0.1743 0.5491



# 5
Theoretical powder X-ray diffraction pattern
Compound: Tm2BiH
Radiation: copper Kα
Structure: a DFT-relaxed cell (PBE, Alexandria)
Kinematic intensities with the Lorentz-polarization factor, no thermal factor.

Peak list (10 most intense, 2θ = 10–90°, in order of rising 2θ)
2θ 28.45, d 3.137, I 21.2
2θ 31.02, d 2.883, I 40.8
2θ 31.86, d 2.809, I 75.5
2θ 32.47, d 2.758, I 100.0
2θ 34.22, d 2.620, I 18.4
2θ 35.99, d 2.495, I 33.4
2θ 39.02, d 2.308, I 29.1
2θ 40.59, d 2.222, I 32.6
2θ 50.72, d 1.800, I 18.1
2θ 56.89, d 1.618, I 19.3

Atomic structure:
a b c (Å): 7.5859 6.2799 7.5449
angles (deg): 90.00 99.31 90.00
Atoms (fractional coordinates):
Tm: 0.0451 0.1274 0.3180
Tm: 0.0451 0.3726 0.8180
Tm: 0.3152 0.6523 0.5153
Tm: 0.3152 0.8477 0.0153
Tm: 0.6848 0.1523 0.9847
Tm: 0.6848 0.3477 0.4847
Tm: 0.9549 0.6274 0.1820
Tm: 0.9549 0.8726 0.6820
Bi: 0.3430 0.1292 0.6630
Bi: 0.3430 0.3708 0.1630
Bi: 0.6570 0.6292 0.8370
Bi: 0.6570 0.8708 0.3370
H: 0.1880 0.6682 0.7638
H: 0.1880 0.8318 0.2638
H: 0.8120 0.1682 0.7362
H: 0.8120 0.3318 0.2362



# 6
Theoretical powder X-ray diffraction pattern
Compound: VBi3H
Radiation: copper Kα
Structure: a DFT-relaxed cell (PBE, Alexandria)
Kinematic intensities with the Lorentz-polarization factor, no thermal factor.

Peak list (10 most intense, 2θ = 10–90°, in order of rising 2θ)
2θ 18.23, d 4.867, I 15.3
2θ 25.89, d 3.442, I 13.1
2θ 31.85, d 2.810, I 100.0
2θ 36.94, d 2.434, I 51.2
2θ 41.49, d 2.177, I 8.4
2θ 45.66, d 1.987, I 6.3
2θ 53.23, d 1.721, I 36.4
2θ 63.38, d 1.468, I 43.2
2θ 66.55, d 1.405, I 12.6
2θ 87.33, d 1.117, I 19.2

Atomic structure:
a b c (Å): 4.8672 4.8672 4.8672
angles (deg): 90.00 90.00 90.00
Atoms (fractional coordinates):
V: 0.0000 0.0000 0.0000
Bi: 0.0000 0.5000 0.5000
Bi: 0.5000 0.0000 0.5000
Bi: 0.5000 0.5000 0.0000
H: 0.5000 0.5000 0.5000



# 7
Theoretical powder X-ray diffraction pattern
Compound: Y4BiH
Radiation: copper Kα
Structure: a DFT-relaxed cell (PBE, Alexandria)
Kinematic intensities with the Lorentz-polarization factor, no thermal factor.

Peak list (10 most intense, 2θ = 10–90°, in order of rising 2θ)
2θ 14.13, d 6.268, I 24.6
2θ 21.24, d 4.183, I 30.1
2θ 24.80, d 3.591, I 52.4
2θ 31.45, d 2.845, I 90.4
2θ 31.84, d 2.810, I 66.2
2θ 32.46, d 2.758, I 100.0
2θ 33.48, d 2.676, I 32.6
2θ 34.41, d 2.607, I 21.6
2θ 39.97, d 2.256, I 30.1
2θ 50.23, d 1.817, I 29.1

Atomic structure:
a b c (Å): 8.8288 8.8288 5.9324
angles (deg): 104.81 104.81 124.68
Atoms (fractional coordinates):
Y: 0.0764 0.6426 0.8674
Y: 0.1446 0.2723 0.6118
Y: 0.2723 0.1446 0.1118
Y: 0.3574 0.9236 0.6326
Y: 0.6426 0.0764 0.3674
Y: 0.7277 0.8554 0.8882
Y: 0.8554 0.7277 0.3882
Y: 0.9236 0.3574 0.1326
Bi: 0.4000 0.6000 0.2500
Bi: 0.6000 0.4000 0.7500
H: 0.0191 0.9809 0.2500
H: 0.9809 0.0191 0.7500



# 8
Theoretical powder X-ray diffraction pattern
Compound: ZnBi2H2
Radiation: copper Kα
Structure: a DFT-relaxed cell (PBE, Alexandria)
Kinematic intensities with the Lorentz-polarization factor, no thermal factor.

Peak list (10 most intense, 2θ = 10–90°, in order of rising 2θ)
2θ 14.41, d 6.146, I 100.0
2θ 21.69, d 4.097, I 45.5
2θ 26.81, d 3.325, I 58.2
2θ 27.04, d 3.298, I 22.3
2θ 27.58, d 3.234, I 36.7
2θ 30.42, d 2.938, I 19.1
2θ 31.54, d 2.836, I 24.1
2θ 33.86, d 2.647, I 17.9
2θ 36.55, d 2.458, I 27.3
2θ 41.34, d 2.184, I 18.9

Atomic structure:
a b c (Å): 4.5898 4.7911 12.5601
angles (deg): 98.95 97.67 90.37
Atoms (fractional coordinates):
Zn: 0.0405 0.0130 0.4057
Zn: 0.9595 0.9870 0.5943
Bi: 0.0650 0.0116 0.1974
Bi: 0.4395 0.4225 0.7964
Bi: 0.5605 0.5775 0.2036
Bi: 0.9350 0.9884 0.8026
H: 0.1931 0.8149 0.5045
H: 0.4882 0.4883 0.9588
H: 0.5118 0.5117 0.0412
H: 0.8069 0.1851 0.4955



# 9
Theoretical powder X-ray diffraction pattern
Compound: Zr3BiH
Radiation: copper Kα
Structure: a DFT-relaxed cell (PBE, Alexandria)
Kinematic intensities with the Lorentz-polarization factor, no thermal factor.

Peak list (10 most intense, 2θ = 10–90°, in order of rising 2θ)
2θ 30.14, d 2.965, I 41.1
2θ 32.10, d 2.789, I 100.0
2θ 35.21, d 2.549, I 29.8
2θ 35.53, d 2.527, I 30.3
2θ 36.63, d 2.453, I 47.8
2θ 37.05, d 2.427, I 31.5
2θ 37.28, d 2.412, I 30.1
2θ 37.59, d 2.393, I 37.6
2θ 37.69, d 2.387, I 44.7
2θ 38.01, d 2.367, I 30.1

Atomic structure:
a b c (Å): 5.7073 5.7582 7.3995
angles (deg): 102.21 101.72 117.70
Atoms (fractional coordinates):
Zr: 0.0000 0.0000 0.0000
Zr: 0.0459 0.9523 0.4945
Zr: 0.1928 0.5897 0.7852
Zr: 0.3967 0.8165 0.2146
Zr: 0.5515 0.4569 0.5020
Zr: 0.6101 0.4091 0.0056
Bi: 0.6268 0.0361 0.6659
Bi: 0.9644 0.3652 0.3323
H: 0.2567 0.4261 0.0035
H: 0.9626 0.7637 0.7117



# 10
Theoretical powder X-ray diffraction pattern
Compound: Zr3BiH
Radiation: copper Kα
Structure: a DFT-relaxed cell (PBE, Alexandria)
Kinematic intensities with the Lorentz-polarization factor, no thermal factor.

Peak list (10 most intense, 2θ = 10–90°, in order of rising 2θ)
2θ 26.45, d 3.370, I 40.8
2θ 30.15, d 2.964, I 67.6
2θ 32.02, d 2.795, I 70.7
2θ 32.27, d 2.774, I 84.4
2θ 35.39, d 2.536, I 100.0
2θ 36.70, d 2.449, I 77.3
2θ 37.34, d 2.408, I 46.5
2θ 37.69, d 2.387, I 74.5
2θ 37.86, d 2.376, I 49.1
2θ 37.97, d 2.370, I 42.4

Atomic structure:
a b c (Å): 5.7212 5.7297 7.3703
angles (deg): 101.47 102.16 117.64
Atoms (fractional coordinates):
Zr: 0.0000 0.0000 0.0000
Zr: 0.0474 0.9434 0.4943
Zr: 0.1739 0.5842 0.7847
Zr: 0.4125 0.7898 0.2064
Zr: 0.5471 0.4364 0.4971
Zr: 0.5944 0.3862 0.9883
Bi: 0.6214 0.0056 0.6597
Bi: 0.9630 0.3631 0.3308
H: 0.2443 0.0309 0.2801
H: 0.8129 0.5953 0.8026



# 11
Theoretical powder X-ray diffraction pattern
Compound: Hf4Bi
Radiation: copper Kα
Structure: a DFT-relaxed cell (PBE, Alexandria)
Kinematic intensities with the Lorentz-polarization factor, no thermal factor.

Peak list (10 most intense, 2θ = 10–90°, in order of rising 2θ)
2θ 20.37, d 4.359, I 26.6
2θ 28.97, d 3.082, I 12.0
2θ 30.16, d 2.963, I 10.3
2θ 33.56, d 2.670, I 100.0
2θ 39.58, d 2.277, I 48.1
2θ 41.42, d 2.180, I 23.3
2θ 46.56, d 1.951, I 11.4
2θ 54.33, d 1.689, I 30.5
2θ 62.71, d 1.482, I 15.1
2θ 74.30, d 1.277, I 25.1

Atomic structure:
a b c (Å): 7.0302 7.0302 7.0302
angles (deg): 103.36 103.36 122.54
Atoms (fractional coordinates):
Hf: 0.2520 0.3117 0.5597
Hf: 0.2520 0.6923 0.9403
Hf: 0.3077 0.7480 0.5597
Hf: 0.3117 0.2520 0.0597
Hf: 0.6883 0.7480 0.9403
Hf: 0.6923 0.2520 0.4403
Hf: 0.7480 0.3077 0.0597
Hf: 0.7480 0.6883 0.4403
Bi: 0.1250 0.8750 0.2500
Bi: 0.8750 0.1250 0.7500



# 12
Theoretical powder X-ray diffraction pattern
Compound: Hf3Bi
Radiation: copper Kα
Structure: a DFT-relaxed cell (PBE, Alexandria)
Kinematic intensities with the Lorentz-polarization factor, no thermal factor.

Peak list (10 most intense, 2θ = 10–90°, in order of rising 2θ)
2θ 34.46, d 2.603, I 100.0
2θ 36.71, d 2.448, I 18.8
2θ 39.20, d 2.298, I 18.3
2θ 43.82, d 2.066, I 13.5
2θ 54.79, d 1.675, I 12.0
2θ 60.23, d 1.536, I 11.0
2θ 64.67, d 1.441, I 12.0
2θ 68.02, d 1.378, I 14.2
2θ 72.66, d 1.301, I 10.5
2θ 74.48, d 1.274, I 11.4

Atomic structure:
a b c (Å): 6.7150 6.7150 4.1320
angles (deg): 90.00 90.00 93.62
Atoms (fractional coordinates):
Hf: 0.1109 0.8891 0.7500
Hf: 0.1334 0.3733 0.7500
Hf: 0.3733 0.1334 0.2500
Hf: 0.6267 0.8666 0.7500
Hf: 0.8666 0.6267 0.2500
Hf: 0.8891 0.1109 0.2500
Bi: 0.3494 0.6506 0.2500
Bi: 0.6506 0.3494 0.7500